Diffraction record for MgCr2Cl4O4. The X-ray powder pattern is theoretical, not measured: it uses a cell relaxed with PBE+U and Cu Kα (λ = 1.5418 Å).
Intensities are scaled so that the largest is 1000.

Structural model:
```
MgCr2Cl4O4
1.0
6.0759 0.0000 0.0000
0.1564 6.4981 0.0000
0.2502 1.5207 6.9585
Mg Cr Cl O
1 2 4 4
Direct
0.0000 0.0000 0.0000
0.0986 0.5250 0.8732
0.5709 0.8338 0.3018
0.4090 0.9693 0.0206
0.4766 0.0606 0.4747
0.9580 0.2970 0.7116
0.9975 0.3257 0.1552
0.3602 0.5129 0.8575
0.4684 0.6094 0.3909
0.8372 0.8503 0.2326
0.9800 0.7605 0.8617
```

Largest 10 diffraction maxima, sorted by position, 2θ from 10° to 80°:
two_theta	d/Å	I/Imax
12.72	6.958	469
16.77	5.285	324
19.10	4.646	1000
19.70	4.507	790
20.07	4.425	484
20.41	4.351	673
20.86	4.259	392
28.30	3.153	319
29.42	3.036	538
31.86	2.809	308

---

Diffraction record for NaCr12Si8ClO28. The X-ray powder pattern is theoretical, not measured: it uses a cell relaxed with PBE+U and Cu Kα (λ = 1.5418 Å).
Intensities are scaled so that the largest is 1000.

Structural model:
```
NaCr12Si8ClO28
1.0
-5.2257 5.2257 6.6026
5.2257 -5.2257 6.6026
5.2257 5.2257 -6.6026
Na Cr Si Cl O
1 12 8 1 28
Direct
0.0000 0.0000 0.0000
0.0170 0.2447 0.7723
0.1348 0.4588 0.6761
0.2447 0.0170 0.7723
0.2447 0.4724 0.2277
0.4450 0.6771 0.7679
0.4588 0.1348 0.6761
0.4588 0.7827 0.3239
0.4724 0.2447 0.2277
0.6771 0.4450 0.7679
0.6771 0.9091 0.2321
0.7827 0.4588 0.3239
0.9091 0.6771 0.2321
0.0658 0.0658 0.4350
0.0658 0.6309 0.0000
0.2893 0.2893 0.4376
0.2893 0.8518 0.0000
0.6309 0.0658 0.0000
0.6309 0.6309 0.5650
0.8518 0.2893 0.0000
0.8518 0.8518 0.5624
0.3966 0.3966 0.0000
0.0177 0.0177 0.7156
0.0177 0.3021 0.0000
0.0281 0.2136 0.5574
0.0281 0.4707 0.8145
0.1244 0.1244 0.3292
0.1244 0.7952 0.0000
0.2136 0.0281 0.5574
0.2136 0.6562 0.1855
0.2648 0.4491 0.5615
0.2648 0.7033 0.8157
0.3021 0.0177 0.0000
0.3021 0.3021 0.2844
0.4491 0.2648 0.5615
0.4491 0.8876 0.1843
0.4707 0.0281 0.8145
0.4707 0.6562 0.4426
0.6131 0.6131 0.7133
0.6131 0.8999 0.0000
0.6562 0.2136 0.1855
0.6562 0.4707 0.4426
0.7033 0.2648 0.8157
0.7033 0.8876 0.4385
0.7952 0.1244 0.0000
0.7952 0.7952 0.6708
0.8876 0.4491 0.1843
0.8876 0.7033 0.4385
0.8999 0.6131 0.0000
0.8999 0.8999 0.2867
```

Largest 10 diffraction maxima, sorted by position, 2θ from 10° to 80°:
two_theta	d/Å	I/Imax
16.97	5.226	520
18.02	4.924	198
20.15	4.406	321
26.46	3.369	1000
27.66	3.225	455
30.24	2.955	218
32.07	2.791	255
36.50	2.462	592
39.03	2.308	206
56.10	1.639	242